Entry 1:
Tl4H3Br4: computed X-ray powder pattern (CuKα), based on a crystal structure in Alexandria, relaxed with PBE.
Intensities are scaled so that the largest is 1000.

Structure:
```
11
Lattice="13.2052 0.0000 0.0000 0.0000 3.3443 3.5305 0.0000 -3.3443 3.5305" Properties=species:S:1:pos:R:3 pbc="T T T"
Tl 0.0000 0.0000 0.0000
Tl 3.2426 0.0000 3.0290
Tl 6.6026 0.0000 5.4652
Tl 9.9626 0.0000 3.0290
H 3.0465 0.0000 1.0330
H 6.6026 0.0000 0.4296
H 10.1587 0.0000 1.0330
Br 0.0000 0.0000 3.3843
Br 3.2703 0.0000 6.1162
Br 6.6026 0.0000 2.3019
Br 9.9349 0.0000 6.1162
```

Top 6 peaks for 10° ≤ 2θ ≤ 80°, by angle:
two_theta, I/Imax
22.7, 688
25.2, 408
26.1, 461
26.7, 1000
27.0, 962
38.3, 764

Entry 2:
K4NiH5: computed X-ray powder pattern (CuKα), based on a crystal structure in Alexandria, relaxed with PBE.
Intensities are scaled so that the largest is 1000.

Structure:
```
10
Lattice="-4.1656 4.1656 2.8643 4.1656 -4.1656 2.8643 4.1656 4.1656 -2.8643" Properties=species:S:1:pos:R:3 pbc="T T T"
K 2.2745 1.0674 0.0000
K 3.0981 -1.8910 2.8643
K 1.0674 6.0566 0.0000
K 1.8910 3.0981 2.8643
Ni 0.0000 0.0000 3.0367
H 4.5259 2.6518 -0.1264
H 2.6518 3.8052 -0.1264
H 1.5137 0.3604 2.7379
H -0.3604 1.5137 2.7379
H 0.0000 0.0000 4.7009
```

Top 6 peaks for 10° ≤ 2θ ≤ 80°, by angle:
two_theta, I/Imax
15.0, 146
28.6, 1000
31.2, 224
34.0, 284
46.9, 203
57.6, 188

Entry 3:
MnPd5Pt5: computed X-ray powder pattern (CuKα), based on a crystal structure in Alexandria, relaxed with PBE.
Intensities are scaled so that the largest is 1000.

Structure:
```
11
Lattice="5.1044 0.0000 0.0000 -0.4457 5.1233 0.0000 -0.9201 -0.9687 6.7103" Properties=species:S:1:pos:R:3 pbc="T T T"
Mn 0.0000 0.0000 0.0000
Pd -0.2857 1.4424 5.5010
Pd -0.1691 4.0086 4.1444
Pd 1.1710 3.5845 6.4310
Pd 3.2703 2.0446 0.1665
Pd 3.3137 3.9441 2.0503
Pt 0.7407 3.0409 1.4854
Pt 1.6010 0.5671 2.0644
Pt 2.0561 2.3257 4.1517
Pt 2.8361 -0.1795 4.4920
Pt 4.2561 1.4037 2.8164
```

Top 6 peaks for 10° ≤ 2θ ≤ 80°, by angle:
two_theta, I/Imax
13.2, 312
41.2, 1000
41.4, 835
41.5, 933
41.6, 378
41.7, 631

Entry 4:
Sm3MgCo8: computed X-ray powder pattern (CuKα), based on a crystal structure in Alexandria, relaxed with PBE.
Intensities are scaled so that the largest is 1000.

Structure:
```
12
Lattice="2.5301 1.4608 8.3158 -2.5301 1.4608 8.3158 0.0000 -2.9215 8.3158" Properties=species:S:1:pos:R:3 pbc="T T T"
Sm 0.0000 0.0000 0.0000
Sm 0.0000 0.0000 3.1719
Sm 0.0000 0.0000 15.4803
Mg 0.0000 0.0000 12.4321
Co 0.0000 -1.4476 5.6508
Co -1.2537 0.7238 5.6508
Co -1.2501 -0.7218 9.9136
Co 0.0000 0.0000 7.7761
Co 1.2537 0.7238 5.6508
Co 1.2501 -0.7218 9.9136
Co 0.0000 1.4435 9.9136
Co 0.0000 0.0000 20.2763
```

Top 6 peaks for 10° ≤ 2θ ≤ 80°, by angle:
two_theta, I/Imax
35.3, 344
35.5, 348
41.7, 348
41.8, 1000
43.8, 224
68.0, 302

Entry 5:
CsSbTeH3: computed X-ray powder pattern (CuKα), based on a crystal structure in Alexandria, relaxed with PBE.
Intensities are scaled so that the largest is 1000.

Structure:
```
6
Lattice="5.1914 0.0000 0.0000 -0.0714 5.4223 0.0000 -0.0007 -0.0997 5.8670" Properties=species:S:1:pos:R:3 pbc="T T T"
Cs 0.0000 0.0000 0.0000
Sb 2.5227 3.9391 2.6535
Te 5.1215 2.6309 3.0191
H 2.5230 4.6602 4.2591
H 2.6046 1.9712 0.3173
H 2.6025 2.0002 5.4364
```

Top 6 peaks for 10° ≤ 2θ ≤ 80°, by angle:
two_theta, I/Imax
22.1, 641
22.5, 1000
28.0, 551
28.2, 840
30.5, 573
34.6, 498

Entry 6:
SiRh4: computed X-ray powder pattern (CuKα), based on a crystal structure in Alexandria, relaxed with PBE.
Intensities are scaled so that the largest is 1000.

Structure:
```
5
Lattice="-2.9782 2.9782 1.9399 2.9782 -2.9782 1.9399 2.9782 2.9782 -1.9399" Properties=species:S:1:pos:R:3 pbc="T T T"
Si 0.0000 0.0000 0.0000
Rh 2.3439 1.1882 0.0000
Rh 1.7900 -0.6343 1.9399
Rh 1.1882 3.6125 0.0000
Rh 0.6343 1.7900 1.9399
```

Top 6 peaks for 10° ≤ 2θ ≤ 80°, by angle:
two_theta, I/Imax
21.1, 74
41.1, 1000
46.8, 164
48.3, 303
69.6, 198
70.7, 93

Entry 7:
CaBeIr2: computed X-ray powder pattern (CuKα), based on a crystal structure in Alexandria, relaxed with PBE.
Intensities are scaled so that the largest is 1000.

Structure:
```
4
Lattice="2.9235 0.0000 0.0000 0.0000 4.3450 0.0000 -1.3067 0.0000 5.2571" Properties=species:S:1:pos:R:3 pbc="T T T"
Ca 0.0000 0.0000 0.0000
Be 0.1587 2.1725 3.7426
Ir 0.1905 0.0000 2.7355
Ir 1.6244 2.1725 2.0340
```

Top 6 peaks for 10° ≤ 2θ ≤ 80°, by angle:
two_theta, I/Imax
16.9, 1000
37.9, 397
38.3, 430
40.1, 242
41.6, 210
45.2, 172